K3GaTe3: simulated PXRD pattern (Cu Kα (λ = 1.5418 Å)), based on DFT lattice parameters and positions (PBE).
Neutral-atom scattering factors, no anomalous dispersion.

Structure:
Lattice parameters (Å, degrees): 21.487 7.375 14.121 90.00 90.00 90.00
Space group Cmce (No. 64)
Asymmetric unit:
K 0.000 0.172 0.152 (multiplicity 8)
K 0.178 0.177 0.874 (multiplicity 16)
Ga 0.087 0.000 0.500 (multiplicity 8)
Te 0.000 0.197 0.404 (multiplicity 8)
Te 0.155 0.188 0.619 (multiplicity 16)

The 10 most intense peaks (2θ from 10° to 90°), sorted by position:
d = 6.254 Å, 14.16°, intensity 64, (1 1 1)
d = 4.154 Å, 21.39°, intensity 100, (3 1 2)
d = 3.687 Å, 24.14°, intensity 28, (0 2 0)
d = 3.582 Å, 24.86°, intensity 58, (6 0 0)
d = 3.530 Å, 25.23°, intensity 48, (0 0 4)
d = 3.386 Å, 26.32°, intensity 25, (2 2 1)
d = 2.569 Å, 34.92°, intensity 45, (6 2 0)
d = 2.555 Å, 35.13°, intensity 26, (4 2 3)
d = 2.550 Å, 35.19°, intensity 42, (0 2 4)
d = 2.514 Å, 35.71°, intensity 65, (6 0 4)



KTlGaTe3: simulated PXRD pattern (Cu Kα (λ = 1.5418 Å)), based on DFT lattice parameters and positions (PBE).
Neutral-atom scattering factors, no anomalous dispersion.

Structure:
Lattice parameters (Å, degrees): 9.770 4.428 10.725 90.00 105.86 90.00
Space group P2_1/m (No. 11)
Asymmetric unit:
K 0.228 0.250 0.239 (multiplicity 2)
Tl 0.339 0.750 0.910 (multiplicity 2)
Ga 0.079 0.250 0.627 (multiplicity 2)
Te 0.077 0.250 0.868 (multiplicity 2)
Te 0.192 0.750 0.539 (multiplicity 2)
Te 0.497 0.750 0.202 (multiplicity 2)

The 10 most intense peaks (2θ from 10° to 90°), sorted by position:
d = 8.143 Å, 10.86°, intensity 99, (1 0 -1)
d = 3.558 Å, 25.02°, intensity 18, (1 0 -3)
d = 3.255 Å, 27.40°, intensity 100, (2 1 -1)
d = 3.223 Å, 27.68°, intensity 23, (2 1 0)
d = 2.999 Å, 29.79°, intensity 27, (1 1 2)
d = 2.977 Å, 30.01°, intensity 18, (1 0 3)
d = 2.774 Å, 32.27°, intensity 24, (1 1 -3)
d = 2.228 Å, 40.49°, intensity 26, (2 1 -4)
d = 2.214 Å, 40.76°, intensity 25, (0 2 0)
d = 2.112 Å, 42.82°, intensity 21, (3 1 2)



KZnGa2Te4: simulated PXRD pattern (Cu Kα (λ = 1.5418 Å)), based on DFT lattice parameters and positions (PBE).
Neutral-atom scattering factors, no anomalous dispersion.

Structure:
Lattice parameters (Å, degrees): 7.050 8.242 9.147 90.00 90.00 90.00
Space group I222 (No. 23)
Asymmetric unit:
K 0.000 0.000 0.000 (multiplicity 2)
Zn 0.000 0.000 0.500 (multiplicity 2)
Ga 0.000 0.500 0.143 (multiplicity 4)
Te 0.209 0.191 0.320 (multiplicity 8)

The 10 most intense peaks (2θ from 10° to 90°), sorted by position:
d = 6.123 Å, 14.47°, intensity 56, (0 1 1)
d = 3.478 Å, 25.61°, intensity 100, (1 1 2)
d = 3.316 Å, 26.89°, intensity 65, (1 2 1)
d = 3.058 Å, 29.20°, intensity 52, (0 2 2)
d = 2.792 Å, 32.06°, intensity 28, (2 0 2)
d = 2.679 Å, 33.45°, intensity 63, (2 2 0)
d = 2.314 Å, 38.92°, intensity 26, (1 2 3)
d = 2.103 Å, 43.01°, intensity 47, (1 1 4)
d = 1.933 Å, 47.01°, intensity 28, (1 4 1)
d = 1.766 Å, 51.76°, intensity 25, (2 3 3)



KZn2Ga2: simulated PXRD pattern (Cu Kα (λ = 1.5418 Å)), based on DFT lattice parameters and positions (PBE).
Neutral-atom scattering factors, no anomalous dispersion.

Structure:
Lattice parameters (Å, degrees): 4.516 4.708 21.360 90.00 90.00 90.00
Space group Imma (No. 74)
Asymmetric unit:
K 0.000 0.250 0.159 (multiplicity 4)
Zn 0.000 0.250 0.461 (multiplicity 4)
Zn 0.000 0.250 0.966 (multiplicity 4)
Ga 0.000 0.250 0.598 (multiplicity 4)
Ga 0.000 0.250 0.721 (multiplicity 4)

The 10 most intense peaks (2θ from 10° to 90°), sorted by position:
d = 4.598 Å, 19.31°, intensity 43, (0 1 1)
d = 3.164 Å, 28.21°, intensity 21, (0 1 5)
d = 3.117 Å, 28.64°, intensity 26, (1 1 2)
d = 2.782 Å, 32.18°, intensity 86, (1 1 4)
d = 2.528 Å, 35.51°, intensity 32, (1 0 7)
d = 2.404 Å, 37.41°, intensity 42, (1 1 6)
d = 2.354 Å, 38.23°, intensity 68, (0 2 0)
d = 2.258 Å, 39.93°, intensity 60, (2 0 0)
d = 2.065 Å, 43.83°, intensity 100, (1 1 8)
d = 1.630 Å, 56.47°, intensity 42, (2 2 0)



Repeat the fourth record exactly.
KZn2Ga2: simulated PXRD pattern (Cu Kα (λ = 1.5418 Å)), based on DFT lattice parameters and positions (PBE).
Neutral-atom scattering factors, no anomalous dispersion.

Structure:
Lattice parameters (Å, degrees): 4.516 4.708 21.360 90.00 90.00 90.00
Space group Imma (No. 74)
Asymmetric unit:
K 0.000 0.250 0.159 (multiplicity 4)
Zn 0.000 0.250 0.461 (multiplicity 4)
Zn 0.000 0.250 0.966 (multiplicity 4)
Ga 0.000 0.250 0.598 (multiplicity 4)
Ga 0.000 0.250 0.721 (multiplicity 4)

The 10 most intense peaks (2θ from 10° to 90°), sorted by position:
d = 4.598 Å, 19.31°, intensity 43, (0 1 1)
d = 3.164 Å, 28.21°, intensity 21, (0 1 5)
d = 3.117 Å, 28.64°, intensity 26, (1 1 2)
d = 2.782 Å, 32.18°, intensity 86, (1 1 4)
d = 2.528 Å, 35.51°, intensity 32, (1 0 7)
d = 2.404 Å, 37.41°, intensity 42, (1 1 6)
d = 2.354 Å, 38.23°, intensity 68, (0 2 0)
d = 2.258 Å, 39.93°, intensity 60, (2 0 0)
d = 2.065 Å, 43.83°, intensity 100, (1 1 8)
d = 1.630 Å, 56.47°, intensity 42, (2 2 0)